No. 1
Starting from DFT lattice parameters and positions (PBE), the X-ray diffraction stick pattern of Ac4Sn6Rh7 was computed for Cu Kα (λ = 1.5418 Å).
Intensities are scaled so that the largest is 100.

Largest 10 diffraction maxima, in order of rising 2θ, 10 to 80 degrees two-theta:
d [Å]	I (rel.)	h k l
3.256	45	2 2 0
2.658	100	2 2 2
2.461	15	3 2 1
2.302	62	4 0 0
2.171	21	3 3 0
1.963	18	3 3 2
1.628	29	4 4 0
1.535	15	4 4 2
1.456	20	6 2 0
1.388	26	6 2 2

Atomic structure:
```
data_Ac4Sn6Rh7
_symmetry_space_group_name_H-M 'I m -3 m'
_symmetry_Int_Tables_number 229
_symmetry_space_group_name_Hall '-I 4 2 3'
_cell_length_a 9.2089
_cell_length_b 9.2089
_cell_length_c 9.2089
_cell_angle_alpha 90.00
_cell_angle_beta 90.00
_cell_angle_gamma 90.00
loop_
_atom_site_label
_atom_site_fract_x
_atom_site_fract_y
_atom_site_fract_z
_atom_site_occupancy
Ac1 0.2500 0.2500 0.2500 1
Sn1 0.0000 0.0000 0.3306 1
Rh1 0.0000 0.0000 0.0000 1
Rh2 0.0000 0.2500 0.5000 1
```

---

No. 2
Starting from DFT lattice parameters and positions (PBE), the X-ray diffraction stick pattern of MgMo was computed for Cu Kα (λ = 1.5418 Å).
Intensities are scaled so that the largest is 100.

Largest 10 diffraction maxima, in order of rising 2θ, 10 to 80 degrees two-theta:
d [Å]	I (rel.)	h k l
2.563	16	1 1 1
2.374	23	0 0 4
2.338	27	0 2 0
2.322	100	1 1 2
2.270	12	0 2 1
2.037	27	1 1 3
1.666	15	0 2 4
1.360	11	1 1 6
1.347	17	1 3 2
1.209	9	1 1 7

Atomic structure:
```
data_MgMo
_symmetry_space_group_name_H-M 'C m m e'
_symmetry_Int_Tables_number 67
_symmetry_space_group_name_Hall '-C 2a 2'
_cell_length_a 3.2369
_cell_length_b 4.6757
_cell_length_c 9.4977
_cell_angle_alpha 90.00
_cell_angle_beta 90.00
_cell_angle_gamma 90.00
loop_
_atom_site_label
_atom_site_fract_x
_atom_site_fract_y
_atom_site_fract_z
_atom_site_occupancy
Mg1 0.0000 0.2500 0.1418 1
Mo1 0.0000 0.2500 0.6076 1
```

---

No. 3
Starting from DFT lattice parameters and positions (PBE), the X-ray diffraction stick pattern of Pm3Sm3Si4 was computed for Cu Kα (λ = 1.5418 Å).
Intensities are scaled so that the largest is 100.

Largest 10 diffraction maxima, in order of rising 2θ, 10 to 80 degrees two-theta:
d [Å]	I (rel.)	h k l
3.439	42	0 1 3
3.382	41	1 2 0
2.872	100	1 2 2
2.719	25	0 4 0
2.691	90	1 1 3
2.432	50	0 2 4
2.160	25	2 0 0
1.865	18	0 5 3
1.712	23	1 5 3
1.615	29	2 2 4

Atomic structure:
```
data_Pm3Sm3Si4
_symmetry_space_group_name_H-M 'A m m 2'
_symmetry_Int_Tables_number 38
_cell_length_a 4.3197
_cell_length_b 10.8886
_cell_length_c 10.8624
_cell_angle_alpha 90.00
_cell_angle_beta 90.00
_cell_angle_gamma 90.00
loop_
_symmetry_equiv_pos_as_xyz
'x,y,z'
'-x,-y,z'
'-x,y,z'
'x,-y,z'
'x,y+1/2,z+1/2'
'-x,-y+1/2,z+1/2'
'-x,y+1/2,z+1/2'
'x,-y+1/2,z+1/2'
loop_
_atom_site_label
_atom_site_fract_x
_atom_site_fract_y
_atom_site_fract_z
_atom_site_occupancy
Pm1 0.0000 0.0000 0.0000 1
Pm2 0.0000 0.1768 0.6759 1
Sm1 0.0000 0.0000 0.3533 1
Sm2 0.5000 0.2494 0.9264 1
Si1 0.5000 0.0000 0.5627 1
Si2 0.5000 0.0000 0.7882 1
Si3 0.5000 0.1124 0.1772 1
```

---

No. 4
Starting from DFT lattice parameters and positions (PBE), the X-ray diffraction stick pattern of LiY was computed for Cu Kα (λ = 1.5418 Å).
Intensities are scaled so that the largest is 100.

Largest 10 diffraction maxima, in order of rising 2θ, 10 to 80 degrees two-theta:
d [Å]	I (rel.)	h k l
4.210	69	1 1 0
3.438	79	1 1 1
2.977	30	2 0 0
2.663	100	2 0 1
2.431	39	2 1 1
1.985	25	2 2 1
1.883	33	3 1 0
1.651	19	3 0 2
1.591	45	3 2 1
1.444	25	4 0 1

Atomic structure:
```
data_LiY
_symmetry_space_group_name_H-M 'P 21 3'
_symmetry_Int_Tables_number 198
_symmetry_space_group_name_Hall 'P 2ac 2ab 3'
_cell_length_a 5.9540
_cell_length_b 5.9540
_cell_length_c 5.9540
_cell_angle_alpha 90.00
_cell_angle_beta 90.00
_cell_angle_gamma 90.00
loop_
_atom_site_label
_atom_site_fract_x
_atom_site_fract_y
_atom_site_fract_z
_atom_site_occupancy
Li1 0.0938 0.4062 0.5938 1
Y1 0.0785 0.9215 0.4215 1
```

---

No. 5
Starting from DFT lattice parameters and positions (PBE), the X-ray diffraction stick pattern of V6FeTc5 was computed for Cu Kα (λ = 1.5418 Å).
Intensities are scaled so that the largest is 100.

Largest 10 diffraction maxima, in order of rising 2θ, 10 to 80 degrees two-theta:
d [Å]	I (rel.)	h k l
3.003	15	0 2 0
2.125	100	2 0 0
2.116	20	0 0 6
1.737	2	2 2 0
1.504	6	0 4 0
1.500	12	2 0 6
1.345	3	3 0 3
1.228	18	3 2 3
1.226	6	0 4 6
1.223	12	1 2 9

Atomic structure:
```
data_V6FeTc5
_symmetry_space_group_name_H-M 'I m m m'
_symmetry_Int_Tables_number 71
_symmetry_space_group_name_Hall '-I 2 2'
_cell_length_a 4.2531
_cell_length_b 6.0169
_cell_length_c 12.6940
_cell_angle_alpha 90.00
_cell_angle_beta 90.00
_cell_angle_gamma 90.00
loop_
_atom_site_label
_atom_site_fract_x
_atom_site_fract_y
_atom_site_fract_z
_atom_site_occupancy
V1 0.0000 0.2481 0.0000 1
V2 0.0000 0.2510 0.3344 1
Fe1 0.0000 0.5000 0.5000 1
Tc1 0.0000 0.0000 0.1639 1
Tc2 0.0000 0.0000 0.5000 1
Tc3 0.0000 0.5000 0.1673 1
```

---

No. 6
Starting from DFT lattice parameters and positions (PBE), the X-ray diffraction stick pattern of Pr2GaSb4 was computed for Cu Kα (λ = 1.5418 Å).
Intensities are scaled so that the largest is 100.

Largest 10 diffraction maxima, in order of rising 2θ, 10 to 80 degrees two-theta:
d [Å]	I (rel.)	h k l
3.522	12	0 0 3
3.379	30	1 0 2
2.982	21	1 1 1
2.748	23	1 0 3
2.679	100	1 1 2
2.198	42	2 0 0
1.904	19	1 0 5
1.554	14	2 2 0
1.439	15	2 1 5
1.344	23	3 1 2

Atomic structure:
```
data_Pr2GaSb4
_symmetry_space_group_name_H-M 'P -4 m 2'
_symmetry_Int_Tables_number 115
_cell_length_a 4.3961
_cell_length_b 4.3961
_cell_length_c 10.5649
_cell_angle_alpha 90.00
_cell_angle_beta 90.00
_cell_angle_gamma 90.00
loop_
_symmetry_equiv_pos_as_xyz
'x,y,z'
'y,-x,-z'
'-x,-y,z'
'-y,x,-z'
'-x,y,z'
'-y,-x,-z'
'x,-y,z'
'y,x,-z'
loop_
_atom_site_label
_atom_site_fract_x
_atom_site_fract_y
_atom_site_fract_z
_atom_site_occupancy
Pr1 0.0000 0.5000 0.2368 1
Ga1 0.0000 0.0000 0.5000 1
Sb1 0.0000 0.0000 0.0000 1
Sb2 0.0000 0.5000 0.6583 1
Sb3 0.5000 0.5000 0.0000 1
```

---

No. 7
Starting from DFT lattice parameters and positions (PBE), the X-ray diffraction stick pattern of Cs5Na was computed for Cu Kα (λ = 1.5418 Å).
Intensities are scaled so that the largest is 100.

Largest 10 diffraction maxima, in order of rising 2θ, 10 to 80 degrees two-theta:
d [Å]	I (rel.)	h k l
6.171	21	1 1 2
4.842	89	2 1 1
4.195	35	1 1 4
3.981	100	2 1 3
3.704	42	2 0 4
3.528	52	3 1 0
2.504	24	4 1 3
2.462	33	2 1 7
2.430	19	4 0 4
2.322	34	3 3 4

Atomic structure:
```
data_Cs5Na
_symmetry_space_group_name_H-M 'I 4/m c m'
_symmetry_Int_Tables_number 140
_symmetry_space_group_name_Hall '-I 4 2c'
_cell_length_a 11.1549
_cell_length_b 11.1549
_cell_length_c 19.8134
_cell_angle_alpha 90.00
_cell_angle_beta 90.00
_cell_angle_gamma 90.00
loop_
_atom_site_label
_atom_site_fract_x
_atom_site_fract_y
_atom_site_fract_z
_atom_site_occupancy
Cs1 0.0000 0.0000 0.0000 1
Cs2 0.1623 0.3377 0.1442 1
Na1 0.0000 0.0000 0.2500 1
```

---

No. 8
Starting from DFT lattice parameters and positions (PBE), the X-ray diffraction stick pattern of Sn2Sb2Pd7Au was computed for Cu Kα (λ = 1.5418 Å).
Intensities are scaled so that the largest is 100.

Largest 10 diffraction maxima, in order of rising 2θ, 10 to 80 degrees two-theta:
d [Å]	I (rel.)	h k l
7.659	44	0 0 2
2.562	32	2 0 -3
2.534	30	2 0 2
2.464	42	0 2 3
2.268	42	0 2 4
2.188	42	0 0 7
2.179	35	2 0 -5
2.148	45	2 0 4
2.073	46	0 2 5
1.982	100	2 2 -1

Atomic structure:
```
data_Sn2Sb2Pd7Au
_symmetry_space_group_name_H-M 'C 1 2/m 1'
_symmetry_Int_Tables_number 12
_cell_length_a 5.6040
_cell_length_b 5.6276
_cell_length_c 15.4042
_cell_angle_alpha 90.00
_cell_angle_beta 96.04
_cell_angle_gamma 90.00
loop_
_symmetry_equiv_pos_as_xyz
'x,y,z'
'-x,-y,-z'
'-x,y,-z'
'x,-y,z'
'x+1/2,y+1/2,z'
'-x+1/2,-y+1/2,-z'
'-x+1/2,y+1/2,-z'
'x+1/2,-y+1/2,z'
loop_
_atom_site_label
_atom_site_fract_x
_atom_site_fract_y
_atom_site_fract_z
_atom_site_occupancy
Sn1 0.0713 0.0000 0.2514 1
Sb1 0.1323 0.5000 0.4106 1
Pd1 0.0000 0.0000 0.0000 1
Pd2 0.1380 0.0000 0.4246 1
Pd3 0.2119 0.2502 0.8652 1
Au1 0.0000 0.5000 0.0000 1
```